Entry 1:
The following is a computed PXRD pattern of Ba5Mg3. It was derived from the PBE geometry in Alexandria, using Cu Kα (λ = 1.5418 Å).
Neutral-atom scattering factors, no anomalous dispersion.

Peak list (8 most intense, 2θ = 10–90°, in order of rising 2θ)
Position (°2θ), I (rel.)
20.8, 50
22.4, 29
27.1, 100
28.8, 59
36.8, 32
41.2, 22
46.0, 19
50.0, 36

Structure:
```
data_Ba5Mg3
_chemical_formula_sum 'Ba5 Mg3'
_cell_length_a 4.3808
_cell_length_b 4.3808
_cell_length_c 19.8687
_cell_angle_alpha 90.00
_cell_angle_beta 90.00
_cell_angle_gamma 90.00
_symmetry_space_group_name_H-M 'P 4/m m m'
_symmetry_Int_Tables_number 123
_symmetry_space_group_name_Hall '-P 4 2'
loop_
_atom_site_label
_atom_site_type_symbol
_atom_site_fract_x
_atom_site_fract_y
_atom_site_fract_z
Ba1 Ba 0.0000 0.0000 0.0000
Ba2 Ba 0.0000 0.0000 0.2183
Ba3 Ba 0.5000 0.5000 0.3926
Mg1 Mg 0.0000 0.0000 0.5000
Mg2 Mg 0.5000 0.5000 0.1106
```

Entry 2:
The following is a computed PXRD pattern of Cs2LiZrO4. It was derived from the PBE geometry in Alexandria, using Cu Kα (λ = 1.5418 Å).
Neutral-atom scattering factors, no anomalous dispersion.

Peak list (8 most intense, 2θ = 10–90°, in order of rising 2θ)
Position (°2θ), I (rel.)
18.6, 59
26.6, 36
27.0, 100
27.7, 29
29.2, 24
33.2, 41
36.8, 28
50.6, 24

Structure:
```
data_Cs2LiZrO4
_chemical_formula_sum 'Cs16 Li8 Zr8 O32'
_cell_length_a 5.2851
_cell_length_b 12.8744
_cell_length_c 23.0302
_cell_angle_alpha 90.00
_cell_angle_beta 90.00
_cell_angle_gamma 90.00
_symmetry_space_group_name_H-M 'F d d d'
_symmetry_Int_Tables_number 70
loop_
_symmetry_equiv_pos_as_xyz
'x,y,z'
'-x,-y,-z'
'-x+1/4,-y+1/4,z'
'x+1/4,y+1/4,-z'
'x,-y+1/4,-z+1/4'
'-x,y+1/4,z+1/4'
'-x+1/4,y,-z+1/4'
'x+1/4,-y,z+1/4'
'x,y+1/2,z+1/2'
'-x,-y+1/2,-z+1/2'
'-x+1/4,-y+3/4,z+1/2'
'x+1/4,y+3/4,-z+1/2'
'x,-y+3/4,-z+3/4'
'-x,y+3/4,z+3/4'
'-x+1/4,y+1/2,-z+3/4'
'x+1/4,-y+1/2,z+3/4'
'x+1/2,y,z+1/2'
'-x+1/2,-y,-z+1/2'
'-x+3/4,-y+1/4,z+1/2'
'x+3/4,y+1/4,-z+1/2'
'x+1/2,-y+1/4,-z+3/4'
'-x+1/2,y+1/4,z+3/4'
'-x+3/4,y,-z+3/4'
'x+3/4,-y,z+3/4'
'x+1/2,y+1/2,z'
'-x+1/2,-y+1/2,-z'
'-x+3/4,-y+3/4,z'
'x+3/4,y+3/4,-z'
'x+1/2,-y+3/4,-z+1/4'
'-x+1/2,y+3/4,z+1/4'
'-x+3/4,y+1/2,-z+1/4'
'x+3/4,-y+1/2,z+1/4'
loop_
_atom_site_label
_atom_site_type_symbol
_atom_site_fract_x
_atom_site_fract_y
_atom_site_fract_z
Cs1 Cs 0.1250 0.1250 0.3004
Li1 Li 0.1250 0.1250 0.6250
Zr1 Zr 0.1250 0.1250 0.1250
O1 O 0.1159 0.2884 0.4199
```